[1]
Calculated powder diffractogram of BaPt2Au3 for a wavelength of 1.5418 Å, from a structure optimized by DFT (PBE).
Lines closer than 0.1° are merged.

Most intense lines, 10° ≤ 2θ ≤ 90°, sorted by position:
- 2θ 17.81, d = 4.980 Å, I 39
- 2θ 31.10, d = 2.875 Å, I 16
- 2θ 36.07, d = 2.490 Å, I 31
- 2θ 37.11, d = 2.423 Å, I 100
- 2θ 40.10, d = 2.248 Å, I 33
- 2θ 41.45, d = 2.178 Å, I 63
- 2θ 55.03, d = 1.669 Å, I 18
- 2θ 59.34, d = 1.557 Å, I 26
- 2θ 64.85, d = 1.438 Å, I 24
- 2θ 70.90, d = 1.329 Å, I 15
- 2θ 73.78, d = 1.284 Å, I 12
- 2θ 79.06, d = 1.211 Å, I 28

```
BaPt2Au3
1.0
5.751 0.000 0.000
-2.875 4.980 0.000
0.000 0.000 4.497
Ba Pt Au
1 2 3
Direct
0.000 0.000 0.000
0.333 0.667 0.000
0.667 0.333 0.000
0.000 0.500 0.500
0.500 0.000 0.500
0.500 0.500 0.500
```



[2]
Calculated powder diffractogram of La3Sn4Ir2Pd2 for a wavelength of 1.5418 Å, from a structure optimized by DFT (PBE).
Lines closer than 0.1° are merged.

Most intense lines, 10° ≤ 2θ ≤ 90°, sorted by position:
- 2θ 31.23, d = 2.864 Å, I 45
- 2θ 31.41, d = 2.848 Å, I 100
- 2θ 34.81, d = 2.577 Å, I 23
- 2θ 35.55, d = 2.526 Å, I 21
- 2θ 38.79, d = 2.322 Å, I 39
- 2θ 41.51, d = 2.176 Å, I 22
- 2θ 42.44, d = 2.130 Å, I 30
- 2θ 44.16, d = 2.051 Å, I 21
- 2θ 50.61, d = 1.804 Å, I 24
- 2θ 58.84, d = 1.570 Å, I 23
- 2θ 60.87, d = 1.522 Å, I 14
- 2θ 62.31, d = 1.490 Å, I 14

```
La3Sn4Ir2Pd2
1.0
-2.130 2.322 13.544
2.130 -2.322 13.544
2.130 2.322 -13.544
La Sn Ir Pd
3 4 2 2
Direct
0.000 0.000 0.000
0.347 0.847 0.500
0.653 0.153 0.500
0.196 0.696 0.500
0.447 0.447 0.000
0.553 0.553 0.000
0.804 0.304 0.500
0.253 0.253 0.000
0.747 0.747 0.000
0.099 0.599 0.500
0.901 0.401 0.500
```



[3]
Calculated powder diffractogram of Pr2YIrPd2Pb3 for a wavelength of 1.5418 Å, from a structure optimized by DFT (PBE).
Lines closer than 0.1° are merged.

Most intense lines, 10° ≤ 2θ ≤ 90°, sorted by position:
- 2θ 12.96, d = 6.830 Å, I 27
- 2θ 31.91, d = 2.805 Å, I 100
- 2θ 34.57, d = 2.594 Å, I 82
- 2θ 34.76, d = 2.581 Å, I 51
- 2θ 39.59, d = 2.276 Å, I 45
- 2θ 41.67, d = 2.167 Å, I 50
- 2θ 45.45, d = 1.996 Å, I 25
- 2θ 58.46, d = 1.579 Å, I 23
- 2θ 61.83, d = 1.501 Å, I 24
- 2θ 63.81, d = 1.459 Å, I 28
- 2θ 63.88, d = 1.457 Å, I 12
- 2θ 82.18, d = 1.173 Å, I 10

```
Pr2YIrPd2Pb3
1.0
3.991 0.000 0.000
0.000 6.821 3.947
0.000 -6.821 3.947
Pr Y Ir Pd Pb
2 1 1 2 3
Direct
0.000 0.201 0.799
0.000 0.799 0.201
0.000 0.401 0.401
0.000 0.794 0.794
0.500 0.137 0.463
0.500 0.463 0.137
0.500 0.060 0.060
0.500 0.538 0.796
0.500 0.796 0.538
```



[4]
Calculated powder diffractogram of NdSmTlCu2 for a wavelength of 1.5418 Å, from a structure optimized by DFT (PBE).
Lines closer than 0.1° are merged.

Most intense lines, 10° ≤ 2θ ≤ 90°, sorted by position:
- 2θ 28.24, d = 3.160 Å, I 41
- 2θ 32.51, d = 2.754 Å, I 100
- 2θ 34.18, d = 2.623 Å, I 67
- 2θ 37.08, d = 2.424 Å, I 17
- 2θ 37.73, d = 2.384 Å, I 41
- 2θ 43.40, d = 2.085 Å, I 24
- 2θ 47.99, d = 1.896 Å, I 18
- 2θ 55.03, d = 1.669 Å, I 15
- 2θ 56.37, d = 1.632 Å, I 32
- 2θ 56.61, d = 1.626 Å, I 12
- 2θ 62.60, d = 1.484 Å, I 18
- 2θ 66.68, d = 1.403 Å, I 13

```
NdSmTlCu2
1.0
3.792 0.000 0.000
0.000 4.170 0.000
0.000 0.000 14.531
Nd Sm Tl Cu
2 2 2 4
Direct
0.000 0.000 0.000
0.000 0.500 0.500
0.000 0.000 0.267
0.000 0.500 0.767
0.500 0.000 0.634
0.500 0.500 0.134
0.500 0.000 0.429
0.500 0.000 0.835
0.500 0.500 0.335
0.500 0.500 0.929
```



[5]
Calculated powder diffractogram of Rb2AgTe2Au for a wavelength of 1.5418 Å, from a structure optimized by DFT (PBE).
Lines closer than 0.1° are merged.

Most intense lines, 10° ≤ 2θ ≤ 90°, sorted by position:
- 2θ 17.11, d = 5.181 Å, I 36
- 2θ 27.50, d = 3.243 Å, I 100
- 2θ 34.62, d = 2.591 Å, I 23
- 2θ 37.46, d = 2.401 Å, I 56
- 2θ 41.45, d = 2.178 Å, I 24
- 2θ 47.09, d = 1.930 Å, I 23
- 2θ 51.92, d = 1.761 Å, I 43
- 2θ 57.81, d = 1.595 Å, I 12
- 2θ 61.67, d = 1.504 Å, I 20
- 2θ 67.58, d = 1.386 Å, I 10
- 2θ 78.21, d = 1.222 Å, I 13
- 2θ 85.10, d = 1.140 Å, I 11

```
Rb2AgTe2Au
1.0
4.802 0.000 0.000
-2.401 4.159 0.000
0.000 0.000 10.363
Rb Ag Te Au
2 1 2 1
Direct
0.000 0.000 0.250
0.000 0.000 0.750
0.333 0.667 0.000
0.333 0.667 0.500
0.667 0.333 0.000
0.667 0.333 0.500
```



[6]
Calculated powder diffractogram of Ho4TlC2O for a wavelength of 1.5418 Å, from a structure optimized by DFT (PBE).
Lines closer than 0.1° are merged.

Most intense lines, 10° ≤ 2θ ≤ 90°, sorted by position:
- 2θ 29.31, d = 3.047 Å, I 49
- 2θ 31.90, d = 2.806 Å, I 42
- 2θ 32.02, d = 2.795 Å, I 73
- 2θ 35.15, d = 2.553 Å, I 100
- 2θ 43.86, d = 2.064 Å, I 36
- 2θ 51.98, d = 1.759 Å, I 40
- 2θ 60.96, d = 1.520 Å, I 26
- 2θ 62.31, d = 1.490 Å, I 50
- 2θ 64.31, d = 1.449 Å, I 17
- 2θ 84.18, d = 1.150 Å, I 11
- 2θ 87.16, d = 1.118 Å, I 16
- 2θ 89.31, d = 1.097 Å, I 15

```
Ho4TlC2O
1.0
3.519 0.000 0.000
-1.759 3.047 0.000
0.000 0.000 14.029
Ho Tl C O
4 1 2 1
Direct
0.000 0.000 0.111
0.000 0.000 0.889
0.667 0.333 0.304
0.667 0.333 0.696
0.000 0.000 0.500
0.333 0.667 0.210
0.333 0.667 0.790
0.667 0.333 0.000
```



[7]
Calculated powder diffractogram of Tm2PaO4 for a wavelength of 1.5418 Å, from a structure optimized by DFT (PBE).
Lines closer than 0.1° are merged.

Most intense lines, 10° ≤ 2θ ≤ 90°, sorted by position:
- 2θ 26.29, d = 3.390 Å, I 19
- 2θ 26.40, d = 3.376 Å, I 37
- 2θ 30.95, d = 2.889 Å, I 100
- 2θ 31.15, d = 2.871 Å, I 50
- 2θ 32.44, d = 2.760 Å, I 31
- 2θ 46.46, d = 1.955 Å, I 16
- 2θ 49.40, d = 1.845 Å, I 32
- 2θ 49.54, d = 1.840 Å, I 12
- 2θ 49.81, d = 1.831 Å, I 15
- 2θ 54.10, d = 1.695 Å, I 19
- 2θ 54.35, d = 1.688 Å, I 37
- 2θ 63.76, d = 1.460 Å, I 13

```
Tm2PaO4
1.0
-3.390 3.390 4.753
3.390 -3.390 4.753
3.390 3.390 -4.753
Tm Pa O
4 2 8
Direct
0.000 0.000 0.000
0.000 0.000 0.500
0.000 0.500 0.000
0.500 0.000 0.500
0.375 0.625 0.750
0.625 0.375 0.250
0.209 0.238 0.971
0.233 0.762 0.471
0.238 0.209 0.471
0.238 0.767 0.029
0.762 0.233 0.971
0.762 0.791 0.529
0.767 0.238 0.529
0.791 0.762 0.029
```



[8]
Calculated powder diffractogram of Nb4SiTe4 for a wavelength of 1.5418 Å, from a structure optimized by DFT (PBE).
Lines closer than 0.1° are merged.

Most intense lines, 10° ≤ 2θ ≤ 90°, sorted by position:
- 2θ 16.30, d = 5.437 Å, I 79
- 2θ 18.85, d = 4.707 Å, I 30
- 2θ 24.99, d = 3.563 Å, I 94
- 2θ 27.62, d = 3.230 Å, I 49
- 2θ 34.33, d = 2.612 Å, I 71
- 2θ 35.04, d = 2.561 Å, I 82
- 2θ 36.30, d = 2.475 Å, I 34
- 2θ 36.93, d = 2.434 Å, I 87
- 2θ 38.17, d = 2.358 Å, I 50
- 2θ 40.60, d = 2.222 Å, I 100
- 2θ 41.82, d = 2.160 Å, I 59
- 2θ 51.31, d = 1.781 Å, I 32

```
Nb4SiTe4
1.0
10.892 0.000 0.000
0.000 18.802 0.000
0.000 0.000 4.868
Nb Si Te
16 4 16
Direct
0.064 0.118 0.000
0.099 0.891 0.500
0.189 0.058 0.500
0.204 0.963 0.000
0.296 0.463 0.000
0.311 0.558 0.500
0.401 0.391 0.500
0.436 0.618 0.000
0.564 0.382 0.000
0.599 0.609 0.500
0.689 0.442 0.500
0.704 0.537 0.000
0.796 0.037 0.000
0.811 0.942 0.500
0.901 0.109 0.500
0.936 0.882 0.000
0.000 0.000 0.250
0.000 0.000 0.750
0.500 0.500 0.250
0.500 0.500 0.750
0.108 0.202 0.500
0.151 0.437 0.500
0.169 0.813 0.000
0.176 0.598 0.000
0.324 0.098 0.000
0.331 0.313 0.000
0.349 0.937 0.500
0.392 0.702 0.500
0.608 0.298 0.500
0.651 0.063 0.500
0.669 0.687 0.000
0.676 0.902 0.000
0.824 0.402 0.000
0.831 0.187 0.000
0.849 0.563 0.500
0.892 0.798 0.500
```



Q: Which formula does entry 6 have?
A: Ho4TlC2O